# MnGaH2O
Simulated X-ray powder pattern, copper Kα. Input: a structure optimized by DFT (GGA+U).
No peak broadening, texture or thermal motion is included.

Cell and atoms:
Cell: 3.0714 3.0714 20.2449 Å, 90.00 90.00 120.00°
Space group R3m (No. 160, hexagonal axes)
Unique sites:
Mn 0.0000 0.0000 0.0000 [3 per cell]
Ga 0.0000 0.0000 0.4424 [3 per cell]
H 0.0000 0.0000 0.2183 [3 per cell]
H 0.0000 0.0000 0.6276 [3 per cell]
O 0.0000 0.0000 0.1689 [3 per cell]

Main lines, by angle (10° ≤ 2θ ≤ 90°):
- (0 0 3), 13.12°, I 100.0
- (0 0 6), 26.42°, I 23.9
- (0 1 2), 34.88°, I 84.9
- (1 0 4), 38.22°, I 64.8
- (0 0 9), 40.09°, I 22.1
- (0 1 5), 40.58°, I 52.1
- (1 0 7), 46.38°, I 58.1
- (1 1 0), 60.27°, I 29.9
- (0 1 11), 61.24°, I 23.3
- (1 1 9), 74.87°, I 19.9